Entry 1:
Theoretical powder diffraction line list of NaScGa2Br6 for Cu Kα, from a crystal structure in Alexandria, relaxed with GGA-PBE.
Intensities are scaled so that the largest is 100.

```
data_NaScGa2Br6
_space_group_name_H-M_alt 'P 1 21/c 1'
_space_group_IT_number 14
_cell_length_a 7.223
_cell_length_b 8.012
_cell_length_c 12.570
_cell_angle_alpha 90.00
_cell_angle_beta 122.41
_cell_angle_gamma 90.00
loop_
_space_group_symop_operation_xyz
'x,y,z'
'-x,-y,-z'
'-x,y+1/2,-z+1/2'
'x,-y+1/2,z+1/2'
loop_
_atom_site_label
_atom_site_type_symbol
_atom_site_fract_x
_atom_site_fract_y
_atom_site_fract_z
Na1 Na 0.000 0.000 0.000
Sc1 Sc 0.500 0.000 0.500
Ga1 Ga 0.194 0.089 0.717
Br1 Br 0.150 0.174 0.457
Br2 Br 0.259 0.721 0.428
Br3 Br 0.390 0.051 0.263
```

Principal peaks in the range 10 to 80 degrees two-theta, low angle first:
| 2θ/deg | Rel. int. |
| --- | --- |
| 13.85 | 69 |
| 27.11 | 85 |
| 27.91 | 100 |
| 28.61 | 87 |
| 30.26 | 76 |
| 30.75 | 76 |

=====

Entry 2:
Theoretical powder diffraction line list of Li3Be for Cu Kα, from a crystal structure in Alexandria, relaxed with GGA-PBE.
Intensities are scaled so that the largest is 100.

```
data_Li3Be
_space_group_name_H-M_alt 'C m m m'
_space_group_IT_number 65
_space_group_name_Hall '-C 2 2'
_cell_length_a 5.448
_cell_length_b 7.855
_cell_length_c 2.671
_cell_angle_alpha 90.00
_cell_angle_beta 90.00
_cell_angle_gamma 90.00
loop_
_atom_site_label
_atom_site_type_symbol
_atom_site_fract_x
_atom_site_fract_y
_atom_site_fract_z
Li1 Li 0.000 0.000 0.000
Li2 Li 0.250 0.250 0.500
Be1 Be 0.000 0.500 0.000
```

Principal peaks in the range 10 to 80 degrees two-theta, low angle first:
| 2θ/deg | Rel. int. |
| --- | --- |
| 40.29 | 100 |
| 40.85 | 96 |
| 46.23 | 33 |
| 47.68 | 61 |
| 68.59 | 41 |
| 68.95 | 10 |

=====

Entry 3:
Theoretical powder diffraction line list of H6PdPt4 for Cu Kα, from a crystal structure in Alexandria, relaxed with GGA-PBE.
Intensities are scaled so that the largest is 100.

```
data_H6PdPt4
_space_group_name_H-M_alt 'P 1'
_space_group_IT_number 1
_cell_length_a 3.545
_cell_length_b 5.513
_cell_length_c 5.957
_cell_angle_alpha 80.11
_cell_angle_beta 72.74
_cell_angle_gamma 71.40
loop_
_space_group_symop_operation_xyz
'x,y,z'
loop_
_atom_site_label
_atom_site_type_symbol
_atom_site_fract_x
_atom_site_fract_y
_atom_site_fract_z
H1 H 0.000 0.000 0.000
H2 H 0.053 0.340 0.547
H3 H 0.466 0.264 0.797
H4 H 0.642 0.417 0.294
H5 H 0.731 0.768 0.763
H6 H 0.918 0.802 0.362
Pd1 Pd 0.482 0.777 0.256
Pt1 Pt 0.203 0.732 0.857
Pt2 Pt 0.208 0.330 0.248
Pt3 Pt 0.701 0.041 0.552
Pt4 Pt 0.910 0.313 0.862
```

Principal peaks in the range 10 to 80 degrees two-theta, low angle first:
| 2θ/deg | Rel. int. |
| --- | --- |
| 22.18 | 43 |
| 35.28 | 92 |
| 36.29 | 100 |
| 36.56 | 42 |
| 36.68 | 50 |
| 37.60 | 61 |

=====

Entry 4:
Theoretical powder diffraction line list of Sm12Co5Sn for Cu Kα, from a crystal structure in Alexandria, relaxed with GGA-PBE.
Intensities are scaled so that the largest is 100.

```
data_Sm12Co5Sn
_space_group_name_H-M_alt 'I m m m'
_space_group_IT_number 71
_space_group_name_Hall '-I 2 2'
_cell_length_a 9.643
_cell_length_b 9.703
_cell_length_c 10.023
_cell_angle_alpha 90.00
_cell_angle_beta 90.00
_cell_angle_gamma 90.00
loop_
_atom_site_label
_atom_site_type_symbol
_atom_site_fract_x
_atom_site_fract_y
_atom_site_fract_z
Sm1 Sm 0.000 0.191 0.202
Sm2 Sm 0.194 0.500 0.186
Sm3 Sm 0.202 0.313 0.500
Co1 Co 0.000 0.000 0.000
Co2 Co 0.000 0.381 0.000
Co3 Co 0.000 0.500 0.388
Sn1 Sn 0.000 0.000 0.500
```

Principal peaks in the range 10 to 80 degrees two-theta, low angle first:
| 2θ/deg | Rel. int. |
| --- | --- |
| 29.27 | 31 |
| 31.67 | 100 |
| 33.92 | 59 |
| 34.28 | 52 |
| 34.62 | 52 |
| 58.70 | 30 |

=====

Entry 5:
Theoretical powder diffraction line list of InNi22B6 for Cu Kα, from a crystal structure in Alexandria, relaxed with GGA-PBE.
Intensities are scaled so that the largest is 100.

```
data_InNi22B6
_space_group_name_H-M_alt 'F -4 3 m'
_space_group_IT_number 216
_space_group_name_Hall 'F -4 2 3'
_cell_length_a 10.516
_cell_length_b 10.516
_cell_length_c 10.516
_cell_angle_alpha 90.00
_cell_angle_beta 90.00
_cell_angle_gamma 90.00
loop_
_atom_site_label
_atom_site_type_symbol
_atom_site_fract_x
_atom_site_fract_y
_atom_site_fract_z
In1 In 0.000 0.000 0.000
Ni1 Ni 0.000 0.000 0.500
Ni2 Ni 0.081 0.081 0.251
Ni3 Ni 0.129 0.129 0.629
Ni4 Ni 0.139 0.139 0.861
Ni5 Ni 0.250 0.250 0.250
B1 B 0.022 0.250 0.750
```

Principal peaks in the range 10 to 80 degrees two-theta, low angle first:
| 2θ/deg | Rel. int. |
| --- | --- |
| 38.28 | 34 |
| 42.10 | 37 |
| 44.78 | 100 |
| 49.00 | 23 |
| 51.41 | 25 |
| 76.94 | 26 |

=====

Entry 6:
Theoretical powder diffraction line list of Sr6TaO8 for Cu Kα, from a crystal structure in Alexandria, relaxed with GGA-PBE.
Intensities are scaled so that the largest is 100.

```
data_Sr6TaO8
_space_group_name_H-M_alt 'F m -3 m'
_space_group_IT_number 225
_space_group_name_Hall '-F 4 2 3'
_cell_length_a 10.259
_cell_length_b 10.259
_cell_length_c 10.259
_cell_angle_alpha 90.00
_cell_angle_beta 90.00
_cell_angle_gamma 90.00
loop_
_atom_site_label
_atom_site_type_symbol
_atom_site_fract_x
_atom_site_fract_y
_atom_site_fract_z
Sr1 Sr 0.000 0.250 0.250
Ta1 Ta 0.000 0.000 0.000
O1 O 0.000 0.000 0.199
O2 O 0.250 0.250 0.250
```

Principal peaks in the range 10 to 80 degrees two-theta, low angle first:
| 2θ/deg | Rel. int. |
| --- | --- |
| 14.96 | 69 |
| 28.86 | 28 |
| 30.18 | 100 |
| 34.99 | 97 |
| 50.31 | 63 |
| 59.80 | 51 |

=====

Entry 7:
Theoretical powder diffraction line list of Ac2PmGe7 for Cu Kα, from a crystal structure in Alexandria, relaxed with GGA-PBE.
Intensities are scaled so that the largest is 100.

```
data_Ac2PmGe7
_space_group_name_H-M_alt 'P -4 m 2'
_space_group_IT_number 115
_cell_length_a 4.522
_cell_length_b 4.522
_cell_length_c 12.116
_cell_angle_alpha 90.00
_cell_angle_beta 90.00
_cell_angle_gamma 90.00
loop_
_space_group_symop_operation_xyz
'x,y,z'
'y,-x,-z'
'-x,-y,z'
'-y,x,-z'
'-x,y,z'
'-y,-x,-z'
'x,-y,z'
'y,x,-z'
loop_
_atom_site_label
_atom_site_type_symbol
_atom_site_fract_x
_atom_site_fract_y
_atom_site_fract_z
Ac1 Ac 0.000 0.500 0.228
Pm1 Pm 0.000 0.000 0.500
Ge1 Ge 0.000 0.000 0.000
Ge2 Ge 0.000 0.500 0.672
Ge3 Ge 0.000 0.500 0.885
Ge4 Ge 0.500 0.500 0.000
Ge5 Ge 0.500 0.500 0.500
```

Principal peaks in the range 10 to 80 degrees two-theta, low angle first:
| 2θ/deg | Rel. int. |
| --- | --- |
| 29.66 | 42 |
| 31.64 | 100 |
| 39.87 | 45 |
| 42.32 | 17 |
| 50.47 | 20 |
| 67.28 | 23 |

=====

Entry 8:
Theoretical powder diffraction line list of PaNi4SnH6 for Cu Kα, from a crystal structure in Alexandria, relaxed with GGA-PBE.
Intensities are scaled so that the largest is 100.

```
data_PaNi4SnH6
_space_group_name_H-M_alt 'P 6/m m m'
_space_group_IT_number 191
_space_group_name_Hall '-P 6 2'
_cell_length_a 4.3207
_cell_length_b 4.3207
_cell_length_c 6.6621
_cell_angle_alpha 90.00
_cell_angle_beta 90.00
_cell_angle_gamma 120.00
loop_
_atom_site_label
_atom_site_type_symbol
_atom_site_fract_x
_atom_site_fract_y
_atom_site_fract_z
Pa1 Pa 0.0000 0.0000 0.0000
Ni1 Ni 0.3333 0.6667 0.3066
Sn1 Sn 0.0000 0.0000 0.5000
H1 H 0.0000 0.5000 0.1426
```

Principal peaks in the range 10 to 80 degrees two-theta, low angle first:
| 2θ/deg | Rel. int. |
| --- | --- |
| 23.78 | 32 |
| 27.34 | 22 |
| 36.10 | 100 |
| 41.81 | 61 |
| 56.41 | 28 |
| 72.63 | 26 |